Record 1
Theoretical X-ray powder pattern of Sm3TeO6 for Cu Ka, from a structure optimized by DFT (PBE).
Lines closer than 0.1° are merged.

Most intense lines, 2θ from 10° to 90°, in order of rising 2θ:
| 2θ (°) | intensity |
| --- | --- |
| 23.82 | 30.2 |
| 25.78 | 30.9 |
| 28.04 | 100.0 |
| 29.70 | 37.4 |
| 30.54 | 13.8 |
| 31.32 | 68.9 |
| 33.57 | 13.6 |
| 40.38 | 13.6 |
| 42.21 | 26.2 |
| 45.76 | 17.3 |
| 47.44 | 37.2 |
| 52.19 | 19.1 |

Atomic structure:
```
Sm3TeO6
1.0
5.070 2.927 3.736
-5.070 2.927 3.736
0.000 -5.855 3.736
Sm Te O
6 2 12
direct
0.049 0.752 0.565
0.248 0.435 0.951
0.435 0.951 0.248
0.565 0.049 0.752
0.752 0.565 0.049
0.951 0.248 0.435
0.000 0.000 0.000
0.500 0.500 0.500
0.030 0.695 0.910
0.090 0.970 0.305
0.172 0.450 0.627
0.305 0.090 0.970
0.373 0.828 0.550
0.450 0.627 0.172
0.550 0.373 0.828
0.627 0.172 0.450
0.695 0.910 0.030
0.828 0.550 0.373
0.910 0.030 0.695
0.970 0.305 0.090
```


Record 2
Theoretical X-ray powder pattern of TbHo7Tm4 for Cu Ka, from a structure optimized by DFT (PBE).
Lines closer than 0.1° are merged.

Most intense lines, 2θ from 10° to 90°, in order of rising 2θ:
| 2θ (°) | intensity |
| --- | --- |
| 31.25 | 100.0 |
| 36.24 | 50.6 |
| 52.18 | 35.9 |
| 62.06 | 32.0 |
| 62.16 | 10.6 |
| 65.14 | 9.2 |
| 76.92 | 5.7 |
| 85.26 | 9.0 |
| 85.36 | 4.5 |
| 85.46 | 4.4 |
| 88.04 | 8.4 |
| 88.18 | 8.3 |

Atomic structure:
```
TbHo7Tm4
1.0
3.509 0.000 0.000
-1.754 3.039 0.000
0.000 0.000 34.298
Tb Ho Tm
1 7 4
direct
0.000 0.000 0.000
0.000 0.000 0.250
0.000 0.000 0.500
0.000 0.000 0.750
0.333 0.667 0.666
0.333 0.667 0.916
0.667 0.333 0.084
0.667 0.333 0.334
0.333 0.667 0.167
0.333 0.667 0.417
0.667 0.333 0.583
0.667 0.333 0.833
```


Record 3
Theoretical X-ray powder pattern of LiCdBi2 for Cu Ka, from a structure optimized by DFT (PBE).
Lines closer than 0.1° are merged.

Most intense lines, 2θ from 10° to 90°, in order of rising 2θ:
| 2θ (°) | intensity |
| --- | --- |
| 21.27 | 47.3 |
| 22.78 | 11.9 |
| 32.54 | 100.0 |
| 37.28 | 49.3 |
| 43.32 | 7.7 |
| 50.32 | 35.0 |
| 54.81 | 6.6 |
| 63.90 | 17.7 |
| 64.26 | 28.9 |
| 67.23 | 8.9 |
| 88.20 | 7.8 |
| 88.54 | 14.2 |

Atomic structure:
```
LiCdBi2
1.0
4.824 0.000 0.000
-2.412 4.178 0.000
0.000 0.000 10.969
Li Cd Bi
2 2 4
direct
0.000 0.000 0.250
0.000 0.000 0.750
0.333 0.667 0.250
0.667 0.333 0.750
0.333 0.667 0.595
0.333 0.667 0.905
0.667 0.333 0.095
0.667 0.333 0.405
```


Record 4
Theoretical X-ray powder pattern of HoZr3Rh6 for Cu Ka, from a structure optimized by DFT (PBE).
Lines closer than 0.1° are merged.

Most intense lines, 2θ from 10° to 90°, in order of rising 2θ:
| 2θ (°) | intensity |
| --- | --- |
| 34.54 | 5.0 |
| 38.47 | 33.4 |
| 38.83 | 100.0 |
| 39.22 | 71.9 |
| 55.81 | 22.2 |
| 56.95 | 8.2 |
| 69.57 | 7.2 |
| 70.32 | 23.3 |
| 70.56 | 12.3 |
| 71.07 | 8.4 |
| 83.34 | 7.7 |
| 84.33 | 6.1 |

Atomic structure:
```
HoZr3Rh6
1.0
8.035 0.000 0.000
0.000 4.639 0.000
-2.926 0.000 9.419
Ho Zr Rh
2 6 12
direct
0.062 0.250 0.391
0.938 0.750 0.609
0.201 0.250 0.017
0.367 0.750 0.810
0.478 0.250 0.615
0.522 0.750 0.385
0.633 0.250 0.190
0.799 0.750 0.983
0.091 0.750 0.894
0.143 0.750 0.195
0.171 0.250 0.712
0.261 0.750 0.513
0.367 0.250 0.309
0.447 0.750 0.095
0.553 0.250 0.905
0.633 0.750 0.691
0.739 0.250 0.487
0.829 0.750 0.288
0.857 0.250 0.805
0.909 0.250 0.106
```


Record 5
Theoretical X-ray powder pattern of Tb5Nd12Sm for Cu Ka, from a structure optimized by DFT (PBE).
Lines closer than 0.1° are merged.

Most intense lines, 2θ from 10° to 90°, in order of rising 2θ:
| 2θ (°) | intensity |
| --- | --- |
| 30.02 | 100.0 |
| 34.80 | 50.7 |
| 50.04 | 36.3 |
| 59.46 | 43.2 |
| 62.39 | 12.4 |
| 73.43 | 3.9 |
| 73.53 | 1.9 |
| 81.35 | 17.6 |
| 83.92 | 13.7 |
| 83.99 | 2.7 |

Atomic structure:
```
Tb5Nd12Sm
1.0
7.728 -7.735 0.000
7.728 7.735 0.000
0.000 0.000 5.159
Tb Nd Sm
5 12 1
direct
0.000 0.000 0.000
0.167 0.833 0.500
0.333 0.667 0.000
0.667 0.333 0.000
0.833 0.167 0.500
0.002 0.668 0.000
0.165 0.165 0.500
0.168 0.501 0.500
0.332 0.998 0.000
0.334 0.334 0.000
0.499 0.832 0.500
0.501 0.168 0.500
0.666 0.666 0.000
0.668 0.002 0.000
0.832 0.499 0.500
0.835 0.835 0.500
0.998 0.332 0.000
0.500 0.500 0.500
```


Record 6
Theoretical X-ray powder pattern of CrP2Pb for Cu Ka, from a structure optimized by DFT (PBE).
Lines closer than 0.1° are merged.

Most intense lines, 2θ from 10° to 90°, in order of rising 2θ:
| 2θ (°) | intensity |
| --- | --- |
| 14.37 | 67.7 |
| 23.12 | 49.6 |
| 24.17 | 78.4 |
| 28.96 | 46.8 |
| 30.18 | 51.7 |
| 30.44 | 47.6 |
| 32.57 | 100.0 |
| 35.02 | 89.5 |
| 40.45 | 46.7 |
| 45.46 | 37.3 |
| 45.96 | 25.9 |
| 49.59 | 38.5 |

Atomic structure:
```
CrP2Pb
1.0
3.961 -1.588 0.000
3.961 1.588 0.000
-1.515 0.000 6.166
Cr P Pb
1 2 1
direct
0.000 0.000 0.000
0.549 0.549 0.259
0.705 0.705 0.976
0.367 0.367 0.598
```


Record 7
Theoretical X-ray powder pattern of Sr4Li5Pd2 for Cu Ka, from a structure optimized by DFT (PBE).
Lines closer than 0.1° are merged.

Most intense lines, 2θ from 10° to 90°, in order of rising 2θ:
| 2θ (°) | intensity |
| --- | --- |
| 11.45 | 100.0 |
| 14.72 | 53.1 |
| 21.91 | 21.6 |
| 24.77 | 23.9 |
| 29.67 | 53.0 |
| 29.82 | 64.0 |
| 30.51 | 59.7 |
| 34.72 | 24.0 |
| 35.92 | 22.1 |
| 36.77 | 24.2 |
| 39.67 | 22.6 |
| 40.15 | 24.4 |

Atomic structure:
```
Sr4Li5Pd2
1.0
7.729 0.000 0.000
0.000 4.492 0.000
-0.093 0.000 9.475
Sr Li Pd
4 5 2
direct
0.207 0.000 0.346
0.220 0.000 0.913
0.780 0.000 0.087
0.793 0.000 0.654
0.141 0.500 0.645
0.432 0.500 0.156
0.500 0.500 0.500
0.568 0.500 0.844
0.859 0.500 0.355
0.082 0.500 0.134
0.918 0.500 0.866
```


Record 8
Theoretical X-ray powder pattern of LaNdCoPt for Cu Ka, from a structure optimized by DFT (PBE).
Lines closer than 0.1° are merged.

Most intense lines, 2θ from 10° to 90°, in order of rising 2θ:
| 2θ (°) | intensity |
| --- | --- |
| 21.58 | 13.4 |
| 35.60 | 100.0 |
| 42.01 | 7.6 |
| 51.23 | 17.7 |
| 56.22 | 3.4 |
| 63.95 | 36.1 |
| 68.34 | 2.6 |
| 75.39 | 11.1 |
| 79.50 | 2.6 |
| 86.25 | 16.1 |

Atomic structure:
```
LaNdCoPt
1.0
0.000 3.566 3.566
3.566 0.000 3.566
3.566 3.566 0.000
La Nd Co Pt
1 1 1 1
direct
0.000 0.000 0.000
0.500 0.500 0.500
0.250 0.250 0.250
0.750 0.750 0.750
```


Record 9
Theoretical X-ray powder pattern of HoFe2C2 for Cu Ka, from a structure optimized by DFT (PBE).
Lines closer than 0.1° are merged.

Most intense lines, 2θ from 10° to 90°, in order of rising 2θ:
| 2θ (°) | intensity |
| --- | --- |
| 20.84 | 30.6 |
| 29.13 | 45.9 |
| 35.23 | 100.0 |
| 36.28 | 42.3 |
| 37.13 | 97.1 |
| 43.16 | 35.1 |
| 47.03 | 52.7 |
| 54.45 | 20.3 |
| 56.85 | 24.7 |
| 57.62 | 17.4 |
| 63.50 | 15.3 |
| 65.72 | 33.1 |

Atomic structure:
```
HoFe2C2
1.0
0.000 4.192 4.494
2.967 0.000 4.494
2.967 4.192 0.000
Ho Fe C
2 4 4
direct
0.125 0.125 0.125
0.875 0.875 0.875
0.241 0.241 0.509
0.491 0.491 0.759
0.509 0.509 0.241
0.759 0.759 0.491
0.187 0.563 0.187
0.437 0.813 0.437
0.563 0.187 0.563
0.813 0.437 0.813
```


Record 10
Theoretical X-ray powder pattern of AcErTm2Se6 for Cu Ka, from a structure optimized by DFT (PBE).
Lines closer than 0.1° are merged.

Most intense lines, 2θ from 10° to 90°, in order of rising 2θ:
| 2θ (°) | intensity |
| --- | --- |
| 16.73 | 44.0 |
| 23.15 | 84.3 |
| 24.33 | 65.5 |
| 28.05 | 55.4 |
| 33.83 | 59.7 |
| 37.19 | 100.0 |
| 42.11 | 50.5 |
| 42.81 | 70.1 |
| 49.25 | 35.8 |
| 57.98 | 22.8 |
| 61.65 | 22.9 |
| 74.70 | 22.4 |

Atomic structure:
```
AcErTm2Se6
1.0
3.659 2.112 6.443
-3.659 2.112 6.443
0.000 -4.225 6.443
Ac Er Tm Se
1 1 2 6
direct
0.000 0.000 0.000
0.515 0.515 0.515
0.206 0.206 0.206
0.714 0.714 0.714
0.108 0.432 0.810
0.354 0.929 0.565
0.432 0.810 0.108
0.565 0.354 0.929
0.810 0.108 0.432
0.929 0.565 0.354
```


Record 11
Theoretical X-ray powder pattern of K2PtI6 for Cu Ka, from a structure optimized by DFT (PBE).
Lines closer than 0.1° are merged.

Most intense lines, 2θ from 10° to 90°, in order of rising 2θ:
| 2θ (°) | intensity |
| --- | --- |
| 13.65 | 100.0 |
| 14.65 | 48.4 |
| 16.31 | 51.5 |
| 25.93 | 31.6 |
| 26.97 | 30.6 |
| 27.50 | 89.8 |
| 29.54 | 63.6 |
| 29.91 | 43.6 |
| 32.97 | 69.9 |
| 37.00 | 35.8 |
| 44.85 | 51.5 |
| 48.03 | 27.8 |

Atomic structure:
```
K2PtI6
1.0
7.684 0.000 0.000
0.000 7.684 0.000
0.000 0.000 12.097
K Pt I
4 2 12
direct
0.000 0.500 0.250
0.000 0.500 0.750
0.500 0.000 0.250
0.500 0.000 0.750
0.000 0.000 0.000
0.500 0.500 0.500
0.000 0.000 0.224
0.000 0.000 0.776
0.193 0.297 0.000
0.203 0.307 0.500
0.297 0.807 0.000
0.307 0.797 0.500
0.500 0.500 0.276
0.500 0.500 0.724
0.693 0.203 0.500
0.703 0.193 0.000
0.797 0.693 0.500
0.807 0.703 0.000
```


Record 12
Theoretical X-ray powder pattern of Rb2UGaS4 for Cu Ka, from a structure optimized by DFT (PBE).
Lines closer than 0.1° are merged.

Most intense lines, 2θ from 10° to 90°, in order of rising 2θ:
| 2θ (°) | intensity |
| --- | --- |
| 14.06 | 90.5 |
| 14.22 | 92.5 |
| 15.87 | 43.8 |
| 23.72 | 43.4 |
| 24.58 | 100.0 |
| 24.86 | 33.6 |
| 29.48 | 61.9 |
| 31.25 | 54.3 |
| 35.84 | 48.7 |
| 38.93 | 36.0 |
| 44.11 | 47.0 |
| 46.31 | 34.5 |

Atomic structure:
```
Rb2UGaS4
1.0
0.000 7.163 12.594
3.123 0.000 12.594
3.123 7.163 0.000
Rb U Ga S
4 2 2 8
direct
0.055 0.055 0.695
0.305 0.305 0.945
0.695 0.695 0.055
0.945 0.945 0.305
0.125 0.125 0.125
0.875 0.875 0.875
0.375 0.375 0.375
0.625 0.625 0.625
0.007 0.640 0.544
0.308 0.544 0.640
0.360 0.993 0.692
0.456 0.692 0.993
0.544 0.308 0.007
0.640 0.007 0.308
0.692 0.456 0.360
0.993 0.360 0.456
```